(1)
For ReNi2N3, a cell relaxed with GGA-PBE gives the simulated PXRD pattern in this record (Cu Kα (λ = 1.5418 Å)).

Atomic structure:
Lattice parameters (Å, degrees): 6.210 7.858 13.484 90.00 97.43 90.00
Space group C2/c (No. 15)
Unique sites:
Re (0.229, 0.052, 0.174)
Ni (0.070, 0.218, 0.468)
Ni (0.245, 0.416, 0.011)
N (0.000, 0.028, 0.250)
N (0.000, 0.454, 0.750)
N (0.199, 0.261, 0.107)
N (0.250, 0.111, 0.572)

Top 10 peaks for 10 to 90 degrees two-theta, in order of rising 2θ:
| two_theta | I_rel | h k l |
| --- | --- | --- |
| 21.5 | 100 | 1 1 -2 |
| 23.6 | 44 | 0 2 1 |
| 23.7 | 89 | 1 1 2 |
| 26.3 | 51 | 0 2 2 |
| 29.0 | 60 | 2 0 0 |
| 30.9 | 67 | 1 1 -4 |
| 34.1 | 51 | 1 1 4 |
| 37.1 | 57 | 2 2 0 |
| 40.5 | 45 | 0 0 6 |
| 49.6 | 37 | 1 3 -5 |

---

(2)
For CsNiN, a cell relaxed with GGA-PBE gives the simulated PXRD pattern in this record (Cu Kα (λ = 1.5418 Å)).

Atomic structure:
Lattice parameters (Å, degrees): 5.5370 5.5370 3.4467 90.00 90.00 120.00
Space group P-6m2 (No. 187)
Unique sites:
Cs (0.0000, 0.0000, 0.0000)
Ni (0.6667, 0.3333, 0.5000)
N (0.6667, 0.3333, 0.0000)

Top 10 peaks for 10 to 90 degrees two-theta, in order of rising 2θ:
| two_theta | I_rel | h k l |
| --- | --- | --- |
| 18.5 | 96 | 1 0 0 |
| 32.0 | 100 | 1 0 1 |
| 32.3 | 81 | 1 1 0 |
| 37.5 | 16 | 2 0 0 |
| 46.1 | 36 | 2 0 1 |
| 50.3 | 13 | 2 1 0 |
| 57.4 | 37 | 2 1 1 |
| 57.7 | 14 | 3 0 0 |
| 63.6 | 21 | 1 1 2 |
| 76.8 | 16 | 3 1 1 |

---

(3)
For Te2MoW2Se2S2, a cell relaxed with GGA-PBE gives the simulated PXRD pattern in this record (Cu Kα (λ = 1.5418 Å)).

Atomic structure:
Lattice parameters (Å, degrees): 3.3521 3.3521 31.0207 90.00 90.00 120.00
Space group P3m1 (No. 156)
Unique sites:
Te (0.0000, 0.0000, 0.0000)
Te (0.0000, 0.0000, 0.1228)
Mo (0.6667, 0.3333, 0.5987)
W (0.0000, 0.0000, 0.8299)
W (0.6667, 0.3333, 0.0614)
Se (0.6667, 0.3333, 0.7760)
Se (0.6667, 0.3333, 0.8839)
S (0.0000, 0.0000, 0.5498)
S (0.0000, 0.0000, 0.6475)

Top 10 peaks for 10 to 90 degrees two-theta, in order of rising 2θ:
| two_theta | I_rel | h k l |
| --- | --- | --- |
| 11.4 | 100 | 0 0 4 |
| 14.3 | 18 | 0 0 5 |
| 30.8 | 27 | 1 0 0 |
| 30.9 | 15 | 0 1 1 |
| 32.9 | 13 | 0 1 4 |
| 35.5 | 49 | 0 1 6 |
| 37.0 | 57 | 1 0 7 |
| 42.7 | 25 | 0 1 10 |
| 44.8 | 36 | 0 1 11 |
| 54.8 | 31 | 1 1 0 |

---

(4)
For Li14MgSi4, a cell relaxed with GGA-PBE gives the simulated PXRD pattern in this record (Cu Kα (λ = 1.5418 Å)).

Atomic structure:
Lattice parameters (Å, degrees): 10.654 10.654 10.631 90.00 90.00 90.00
Space group I-42d (No. 122)
Unique sites:
Li (0.039, 0.628, 0.021)
Li (0.099, 0.626, 0.664)
Li (0.125, 0.250, 0.625)
Li (0.154, 0.216, 0.000)
Mg (0.000, 0.000, 0.000)
Si (0.043, 0.704, 0.418)

Top 10 peaks for 10 to 90 degrees two-theta, in order of rising 2θ:
| two_theta | I_rel | h k l |
| --- | --- | --- |
| 20.4 | 77 | 2 1 1 |
| 23.6 | 86 | 2 0 2 |
| 26.5 | 28 | 3 1 0 |
| 31.4 | 28 | 3 1 2 |
| 39.7 | 100 | 3 3 2 |
| 41.6 | 35 | 2 2 4 |
| 43.3 | 87 | 5 0 1 |
| 46.7 | 32 | 5 2 1 |
| 69.5 | 30 | 5 1 6 |
| 77.0 | 21 | 8 1 3 |

---

Question: Which formula does entry 3 have?
Answer: Te2MoW2Se2S2

---

Question: What is the formula in the third record?
Answer: Te2MoW2Se2S2